Diffraction record for NaSiAu3. The powder XRD pattern is computed, not measured: it uses DFT lattice parameters and positions (PBE) and copper Kα.

Crystal structure
abc: 4.8815 4.8815 4.8284
angles: 90.00 90.00 102.39
Positions (direct):
Na 0.0000 0.0000 0.0000
Si 0.5000 0.5000 0.5000
Au 0.0000 0.5000 0.5000
Au 0.5000 0.0000 0.5000
Au 0.5000 0.5000 0.0000

Top 12 peaks for 15 to 90 degrees two-theta, low angle first:
| Position (°2θ) | Rel. int. |
| --- | --- |
| 18.37 | 19 |
| 18.61 | 37 |
| 26.27 | 16 |
| 29.90 | 100 |
| 34.72 | 68 |
| 37.24 | 34 |
| 37.74 | 66 |
| 47.82 | 17 |
| 54.06 | 47 |
| 60.43 | 28 |
| 62.13 | 15 |
| 68.97 | 19 |